[1]
Computed PXRD pattern of CeDy2Ga2 for Cu Kα X-rays, from DFT lattice parameters and positions (PBE).
Lines closer than 0.1° are merged.

Structure:
Cell lengths 8.900, 8.900, 6.273 Å; angles 90.00, 90.00, 148.79 degrees
Fractional positions:
Ce 0.107 0.893 0.500
Ce 0.893 0.107 0.000
Dy 0.307 0.693 0.403
Dy 0.482 0.518 0.715
Dy 0.518 0.482 0.215
Dy 0.693 0.307 0.903
Ga 0.076 0.924 0.979
Ga 0.299 0.701 0.887
Ga 0.701 0.299 0.387
Ga 0.924 0.076 0.479

Principal peaks in the range 2θ from 10° to 80°, low angle first:
d (Å)	2θ/deg	I (rel.)
3.716	23.95	22
2.945	30.35	25
2.788	32.11	100
2.595	34.57	58
2.531	35.47	18
2.394	37.57	39
2.384	37.73	37
2.084	43.43	13
1.447	64.39	13
1.442	64.63	15

[2]
Computed PXRD pattern of In2CuIr2 for Cu Kα X-rays, from DFT lattice parameters and positions (PBE).
Lines closer than 0.1° are merged.

Structure:
Cell lengths 7.657, 7.657, 3.071 Å; angles 90.00, 90.00, 90.00 degrees
Fractional positions:
In 0.152 0.348 0.000
In 0.348 0.848 0.000
In 0.652 0.152 0.000
In 0.848 0.652 0.000
Cu 0.000 0.000 0.000
Cu 0.500 0.500 0.000
Ir 0.146 0.646 0.500
Ir 0.354 0.146 0.500
Ir 0.646 0.854 0.500
Ir 0.854 0.354 0.500

Principal peaks in the range 2θ from 10° to 80°, low angle first:
d (Å)	2θ/deg	I (rel.)
5.414	16.37	22
3.424	26.02	8
2.421	37.13	45
2.286	39.41	100
1.914	47.50	13
1.805	50.57	12
1.747	52.38	8
1.589	58.04	11
1.297	72.96	12
1.290	73.38	25

Q: What is the formula in the first record?
A: CeDy2Ga2